No. 1
For PaNb2Sb2, a DFT-relaxed cell (GGA-PBE, Alexandria) gives the computed XRD peak list in this record (Cu Kα).
Kinematic intensities with the Lorentz-polarization factor, no thermal factor.

Principal peaks in the range 15° ≤ 2θ ≤ 90°, sorted by position:
3.294 Å, I = 22
2.850 Å, I = 100
2.825 Å, I = 46
2.320 Å, I = 53
1.954 Å, I = 32
1.793 Å, I = 26

Cell and atoms:
```
PaNb2Sb2
1.0
-3.2936 3.2936 5.6495
3.2936 -3.2936 5.6495
3.2936 3.2936 -5.6495
Pa Nb Sb
2 4 4
Cartesian
0.0000 0.0000 0.0000 Pa
0.0000 3.2936 2.8247 Pa
3.2936 1.2477 0.1067 Nb
2.0458 3.2936 -2.7180 Nb
1.2477 0.0000 2.9314 Nb
0.0000 2.0458 5.7562 Nb
1.4156 3.2936 0.0183 Sb
1.8780 0.0000 5.6678 Sb
3.2936 1.8780 2.8431 Sb
0.0000 1.4156 8.4925 Sb
```

No. 2
For LiZn4As, a DFT-relaxed cell (GGA-PBE, Alexandria) gives the computed XRD peak list in this record (Cu Kα).
Kinematic intensities with the Lorentz-polarization factor, no thermal factor.

Principal peaks in the range 15° ≤ 2θ ≤ 90°, sorted by position:
4.246 Å, I = 42
2.218 Å, I = 100
2.123 Å, I = 59
1.415 Å, I = 30
1.300 Å, I = 26
1.109 Å, I = 20

Cell and atoms:
```
LiZn4As
1.0
0.0000 3.6774 3.6774
3.6774 0.0000 3.6774
3.6774 3.6774 0.0000
Li Zn As
1 4 1
Cartesian
0.0000 0.0000 0.0000 Li
4.5990 2.7557 2.7557 Zn
2.7557 4.5990 2.7557 Zn
2.7557 2.7557 4.5990 Zn
4.5990 4.5990 4.5990 Zn
1.8387 1.8387 1.8387 As
```

No. 3
For LiH6Pd8, a DFT-relaxed cell (GGA-PBE, Alexandria) gives the computed XRD peak list in this record (Cu Kα).
Kinematic intensities with the Lorentz-polarization factor, no thermal factor.

Principal peaks in the range 15° ≤ 2θ ≤ 90°, sorted by position:
2.487 Å, I = 33
2.389 Å, I = 49
2.382 Å, I = 59
2.233 Å, I = 100
2.064 Å, I = 33
1.244 Å, I = 42

Cell and atoms:
```
LiH6Pd8
1.0
5.0509 0.0000 0.0000
-2.5255 4.3742 0.0000
0.0000 0.0000 14.3333
Li H Pd
2 12 16
Cartesian
0.0000 0.0000 0.0000 Li
0.0000 0.0000 7.1666 Li
0.0000 0.0000 3.3996 H
0.0000 0.0000 10.5663 H
-0.9126 1.5806 0.8080 H
-1.6129 2.7936 7.9746 H
0.0000 2.9162 5.3483 H
0.0000 2.9162 12.5149 H
1.8251 0.0000 0.8080 H
0.9126 1.5806 7.9746 H
3.2258 0.0000 7.9746 H
1.6129 2.7936 0.8080 H
2.5255 1.4581 5.3483 H
2.5255 1.4581 12.5149 H
-0.8128 1.4078 11.9781 Pd
-0.8478 1.4685 2.5110 Pd
-1.6776 2.9057 9.6776 Pd
-1.7126 2.9664 4.8114 Pd
1.6256 0.0000 11.9781 Pd
0.8128 1.4078 4.8114 Pd
0.0000 2.9162 0.0273 Pd
0.0000 2.9162 7.1939 Pd
1.6957 0.0000 2.5110 Pd
0.8478 1.4685 9.6776 Pd
3.3552 0.0000 9.6776 Pd
1.6776 2.9057 2.5110 Pd
2.5255 1.4581 0.0273 Pd
2.5255 1.4581 7.1939 Pd
3.4253 0.0000 4.8114 Pd
1.7126 2.9664 11.9781 Pd
```

No. 4
For K2ZnCd12Au3, a DFT-relaxed cell (GGA-PBE, Alexandria) gives the computed XRD peak list in this record (Cu Kα).
Kinematic intensities with the Lorentz-polarization factor, no thermal factor.

Principal peaks in the range 15° ≤ 2θ ≤ 90°, sorted by position:
4.106 Å, I = 82
3.897 Å, I = 70
2.473 Å, I = 64
2.415 Å, I = 94
2.258 Å, I = 100
2.201 Å, I = 63

Cell and atoms:
```
K2ZnCd12Au3
1.0
4.8304 2.7889 7.1522
-4.8304 2.7889 7.1522
0.0000 -5.5777 7.1522
K Zn Cd Au
2 1 12 3
Cartesian
0.0000 0.0000 2.2034 K
0.0000 0.0000 19.2533 K
0.0000 0.0000 10.7283 Zn
-2.2693 -1.3102 9.9677 Cd
0.0000 -1.9107 5.8743 Cd
-1.6547 0.9554 5.8743 Cd
0.0000 -2.6204 11.4890 Cd
-2.2693 1.3102 11.4890 Cd
-1.6547 -0.9554 15.5823 Cd
1.6547 0.9554 5.8743 Cd
2.2693 -1.3102 9.9677 Cd
0.0000 2.6204 9.9677 Cd
1.6547 -0.9554 15.5823 Cd
0.0000 1.9107 15.5823 Cd
2.2693 1.3102 11.4890 Cd
-2.4152 -1.3944 7.1522 Au
-2.4152 1.3944 14.3044 Au
0.0000 2.7889 7.1522 Au
```

No. 5
For Ce3In4Ag2, a DFT-relaxed cell (GGA-PBE, Alexandria) gives the computed XRD peak list in this record (Cu Kα).
Kinematic intensities with the Lorentz-polarization factor, no thermal factor.

Principal peaks in the range 15° ≤ 2θ ≤ 90°, sorted by position:
2.727 Å, I = 100
2.722 Å, I = 19
2.509 Å, I = 100
1.848 Å, I = 19
1.486 Å, I = 23
1.435 Å, I = 20

Cell and atoms:
```
Ce3In4Ag2
1.0
5.5922 -2.5082 0.0000
5.5922 2.5082 0.0000
-4.5796 0.0000 8.1670
Ce In Ag
3 4 2
Cartesian
0.0000 0.0000 0.0000 Ce
2.1522 0.0000 2.7693 Ce
4.4525 0.0000 5.3976 Ce
-1.2113 0.0000 3.0621 In
-1.2428 0.0000 7.5873 In
7.8475 0.0000 0.5797 In
7.8160 0.0000 5.1049 In
1.0863 0.0000 5.9156 Ag
5.5184 0.0000 2.2513 Ag
```

No. 6
For Tb7SmTm3, a DFT-relaxed cell (GGA-PBE, Alexandria) gives the computed XRD peak list in this record (Cu Kα).
Kinematic intensities with the Lorentz-polarization factor, no thermal factor.

Principal peaks in the range 15° ≤ 2θ ≤ 90°, sorted by position:
2.876 Å, I = 100
2.852 Å, I = 32
2.486 Å, I = 67
1.763 Å, I = 24
1.752 Å, I = 23
1.500 Å, I = 28

Cell and atoms:
```
Tb7SmTm3
1.0
7.0532 0.0000 0.0000
-3.5266 6.1082 0.0000
0.0000 0.0000 8.5556
Tb Sm Tm
7 1 3
Cartesian
0.0000 0.0000 0.0000 Tb
0.0000 2.0194 5.7201 Tb
-1.7777 5.0985 5.7201 Tb
3.5266 0.0163 0.0590 Tb
1.7775 3.0459 0.0590 Tb
1.7777 5.0985 5.7201 Tb
5.2757 3.0459 0.0590 Tb
3.5266 2.0361 5.7828 Sm
1.7598 1.0160 2.8818 Tm
5.2934 1.0160 2.8818 Tm
3.5266 4.0762 2.8818 Tm
```

No. 7
For Fe2MoPd5, a DFT-relaxed cell (GGA-PBE, Alexandria) gives the computed XRD peak list in this record (Cu Kα).
Kinematic intensities with the Lorentz-polarization factor, no thermal factor.

Principal peaks in the range 15° ≤ 2θ ≤ 90°, sorted by position:
2.246 Å, I = 100
2.241 Å, I = 100
1.949 Å, I = 64
1.930 Å, I = 31
1.372 Å, I = 39
1.173 Å, I = 23

Cell and atoms:
```
Fe2MoPd5
1.0
5.5028 0.0000 0.0000
0.0000 11.0477 0.0000
0.0000 0.0000 3.8602
Fe Mo Pd
4 2 10
Cartesian
1.3661 1.3645 0.0000 Fe
1.3853 6.8884 0.0000 Fe
4.1175 4.1593 0.0000 Fe
4.1366 9.6832 0.0000 Fe
0.0000 0.0000 1.9301 Mo
2.7514 5.5238 1.9301 Mo
0.0000 5.5238 1.9301 Pd
0.0270 2.7146 1.9301 Pd
1.3475 9.7117 0.0000 Pd
1.4039 4.1879 0.0000 Pd
2.7243 8.2384 1.9301 Pd
2.7514 0.0000 1.9301 Pd
2.7784 2.8092 1.9301 Pd
4.0989 6.8598 0.0000 Pd
4.1553 1.3360 0.0000 Pd
5.4757 8.3331 1.9301 Pd
```

No. 8
For Pm4HoGe4, a DFT-relaxed cell (GGA-PBE, Alexandria) gives the computed XRD peak list in this record (Cu Kα).
Kinematic intensities with the Lorentz-polarization factor, no thermal factor.

Principal peaks in the range 15° ≤ 2θ ≤ 90°, sorted by position:
3.368 Å, I = 36
2.868 Å, I = 100
2.426 Å, I = 25
2.026 Å, I = 22
1.934 Å, I = 21
1.779 Å, I = 14

Cell and atoms:
```
Pm4HoGe4
1.0
9.0627 0.0000 0.0000
0.0000 9.0627 0.0000
0.0000 0.0000 6.0566
Pm Ho Ge
8 2 8
Cartesian
0.4743 6.0708 0.7341 Pm
1.5394 8.5885 3.7624 Pm
2.9920 5.0056 3.7624 Pm
4.0571 7.5233 0.7341 Pm
5.0056 1.5394 5.3226 Pm
6.0708 4.0571 2.2943 Pm
7.5233 0.4743 2.2943 Pm
8.5885 2.9920 5.3226 Pm
2.2657 2.2657 1.5142 Ho
6.7970 6.7970 4.5425 Ho
0.1399 5.7024 3.7040 Ge
1.1711 8.9229 0.6757 Ge
3.3603 4.6712 0.6757 Ge
4.3915 7.8916 3.7040 Ge
4.6712 1.1711 2.3526 Ge
5.7024 4.3915 5.3809 Ge
7.8916 0.1399 5.3809 Ge
8.9229 3.3603 2.3526 Ge
```